Starting from DFT lattice parameters and positions (PBE+U), the XRD peak list of SrPaMo2O8 was calculated for Cu Kα.

Main lines, in order of falling intensity (5 to 70 degrees two-theta):
| 2theta | d [Å] | I/Imax | h k l |
| --- | --- | --- | --- |
| 28.30 | 3.154 | 100 | 1 1 2 |
| 46.50 | 1.953 | 31 | 2 0 4 |
| 56.78 | 1.622 | 28 | 1 3 2 |
| 33.52 | 2.674 | 20 | 2 0 0 |
| 18.32 | 4.844 | 17 | 1 0 1 |
| 53.86 | 1.702 | 17 | 1 1 6 |
| 48.13 | 1.890 | 15 | 2 2 0 |
| 31.29 | 2.859 | 15 | 0 0 4 |
| 58.53 | 1.577 | 11 | 2 2 4 |
| 15.50 | 5.718 | 8 | 0 0 2 |
| 38.46 | 2.341 | 6 | 2 1 1 |
| 23.53 | 3.781 | 5 | 1 1 0 |

Crystal structure
```
data_SrPaMo2O8
_symmetry_space_group_name_H-M 'I -4'
_symmetry_Int_Tables_number 82
_symmetry_space_group_name_Hall 'I -4'
_cell_length_a 5.3471
_cell_length_b 5.3471
_cell_length_c 11.4365
_cell_angle_alpha 90.00
_cell_angle_beta 90.00
_cell_angle_gamma 90.00
loop_
_atom_site_label
_atom_site_type_symbol
_atom_site_fract_x
_atom_site_fract_y
_atom_site_fract_z
_atom_site_occupancy
Sr1 Sr 0.0000 0.0000 0.0000 1
Pa1 Pa 0.0000 0.5000 0.7500 1
Mo1 Mo 0.0000 0.0000 0.5000 1
Mo2 Mo 0.0000 0.5000 0.2500 1
O1 O 0.1689 0.2445 0.5887 1
O2 O 0.2019 0.7625 0.1727 1
```


Starting from DFT lattice parameters and positions (PBE+U), the XRD peak list of KW6O18 was calculated for Cu Kα.

Main lines, in order of falling intensity (5 to 70 degrees two-theta):
| 2theta | d [Å] | I/Imax | h k l |
| --- | --- | --- | --- |
| 27.40 | 3.255 | 100 | 2 0 0 |
| 13.60 | 6.509 | 58 | 1 0 0 |
| 36.09 | 2.489 | 56 | 2 0 2 |
| 23.02 | 3.863 | 51 | 0 0 2 |
| 55.31 | 1.661 | 29 | 2 0 4 |
| 48.45 | 1.879 | 26 | 2 2 0 |
| 26.84 | 3.322 | 25 | 1 0 2 |
| 54.29 | 1.690 | 24 | 2 2 2 |
| 69.83 | 1.347 | 17 | 2 2 4 |
| 61.87 | 1.500 | 16 | 4 0 2 |
| 56.56 | 1.627 | 16 | 4 0 0 |
| 23.68 | 3.758 | 16 | 1 1 0 |

Crystal structure
```
data_KW6O18
_symmetry_space_group_name_H-M 'P 6/m m m'
_symmetry_Int_Tables_number 191
_symmetry_space_group_name_Hall '-P 6 2'
_cell_length_a 7.5160
_cell_length_b 7.5160
_cell_length_c 7.7261
_cell_angle_alpha 90.00
_cell_angle_beta 90.00
_cell_angle_gamma 120.00
loop_
_atom_site_label
_atom_site_type_symbol
_atom_site_fract_x
_atom_site_fract_y
_atom_site_fract_z
_atom_site_occupancy
K1 K 0.0000 0.0000 0.0000 1
W1 W 0.0000 0.5000 0.2505 1
O1 O 0.0000 0.5000 0.0000 1
O2 O 0.0000 0.5000 0.5000 1
O3 O 0.2120 0.4240 0.2480 1
```